# 1
The following is a simulated powder diffractogram of GaFe2Co. It was derived from a DFT-relaxed cell (PBE, the Materials Project), using Cu Kα (weighted mean of Kα1 and Kα2).
Lines closer than 0.1° are merged.

Top 5 peaks for 2θ from 10° to 90°, most intense first:
44.9°, I = 100, (2 2 0); 82.8°, I = 29, (4 2 2); 65.4°, I = 15, (4 0 0); 27.0°, I = 1, (1 1 1); 53.2°, I = 1, (3 1 1)

Cell and atoms:
```
data_GaFe2Co
_chemical_formula_sum 'Ga4 Fe8 Co4'
_space_group_name_H-M_alt 'F -4 3 m'
_space_group_IT_number 216
_space_group_name_Hall 'F -4 2 3'
_cell_length_a 5.711
_cell_length_b 5.711
_cell_length_c 5.711
_cell_angle_alpha 90.00
_cell_angle_beta 90.00
_cell_angle_gamma 90.00
loop_
_atom_site_label
_atom_site_type_symbol
_atom_site_fract_x
_atom_site_fract_y
_atom_site_fract_z
_atom_site_occupancy
Ga1 Ga 0.000 0.000 0.000 1
Fe1 Fe 0.000 0.000 0.500 1
Fe2 Fe 0.250 0.250 0.750 1
Co1 Co 0.250 0.250 0.250 1
```



# 2
The following is a simulated powder diffractogram of GaFe4Co8Si3. It was derived from a DFT-relaxed cell (PBE, the Materials Project), using Cu Kα (weighted mean of Kα1 and Kα2).
Lines closer than 0.1° are merged.

Top 8 peaks for 2θ from 10° to 90°, most intense first:
45.4°, I = 100, (1 1 0); 83.8°, I = 29, (3 0 0); 66.1°, I = 15, (0 2 16); 27.3°, I = 2, (0 0 12); 31.6°, I = 2, (0 1 8); 53.8°, I = 1, (1 1 12); 25.8°, I = 1, (1 0 1); 36.2°, I = 1, (0 1 11)

Cell and atoms:
```
data_GaFe4Co8Si3
_chemical_formula_sum 'Ga3 Fe12 Co24 Si9'
_space_group_name_H-M_alt 'R -3 m'
_space_group_IT_number 166
_space_group_name_Hall '-R 3 2"'
_cell_length_a 3.9994
_cell_length_b 3.9994
_cell_length_c 39.1671
_cell_angle_alpha 90.00
_cell_angle_beta 90.00
_cell_angle_gamma 120.00
loop_
_atom_site_label
_atom_site_type_symbol
_atom_site_fract_x
_atom_site_fract_y
_atom_site_fract_z
_atom_site_occupancy
Ga1 Ga 0.0000 0.0000 0.0000 1
Fe1 Fe 0.0000 0.0000 0.1253 1
Fe2 Fe 0.0000 0.0000 0.3750 1
Co1 Co 0.0000 0.0000 0.0642 1
Co2 Co 0.0000 0.0000 0.1875 1
Co3 Co 0.0000 0.0000 0.3109 1
Co4 Co 0.0000 0.0000 0.4377 1
Si1 Si 0.0000 0.0000 0.2498 1
Si2 Si 0.0000 0.0000 0.5000 1
```



# 3
The following is a simulated powder diffractogram of Ga3Fe4Co8Si. It was derived from a DFT-relaxed cell (PBE, the Materials Project), using Cu Kα (weighted mean of Kα1 and Kα2).
Lines closer than 0.1° are merged.

Top 4 peaks for 2θ from 10° to 90°, most intense first:
45.0°, I = 100, (1 1 0); 83.0°, I = 29, (3 0 0); 65.5°, I = 15, (0 2 16); 39.3°, I = 1, (1 0 13)

Cell and atoms:
```
data_Ga3Fe4Co8Si
_chemical_formula_sum 'Ga9 Fe12 Co24 Si3'
_space_group_name_H-M_alt 'R -3 m'
_space_group_IT_number 166
_space_group_name_Hall '-R 3 2"'
_cell_length_a 4.0324
_cell_length_b 4.0324
_cell_length_c 39.4790
_cell_angle_alpha 90.00
_cell_angle_beta 90.00
_cell_angle_gamma 120.00
loop_
_atom_site_label
_atom_site_type_symbol
_atom_site_fract_x
_atom_site_fract_y
_atom_site_fract_z
_atom_site_occupancy
Ga1 Ga 0.0000 0.0000 0.0000 1
Ga2 Ga 0.0000 0.0000 0.2493 1
Fe1 Fe 0.0000 0.0000 0.1249 1
Fe2 Fe 0.0000 0.0000 0.3753 1
Co1 Co 0.0000 0.0000 0.0628 1
Co2 Co 0.0000 0.0000 0.1860 1
Co3 Co 0.0000 0.0000 0.3123 1
Co4 Co 0.0000 0.0000 0.4397 1
Si1 Si 0.0000 0.0000 0.5000 1
```



# 4
The following is a simulated powder diffractogram of VGaFeCo. It was derived from a DFT-relaxed cell (PBE, the Materials Project), using Cu Kα (weighted mean of Kα1 and Kα2).
Lines closer than 0.1° are merged.

Top 6 peaks for 2θ from 10° to 90°, most intense first:
44.7°, I = 100, (2 2 0); 82.3°, I = 29, (4 2 2); 65.0°, I = 15, (4 0 0); 26.9°, I = 2, (1 1 1); 52.9°, I = 1, (3 1 1); 71.7°, I = 1, (3 3 1)

Cell and atoms:
```
data_VGaFeCo
_chemical_formula_sum 'V4 Ga4 Fe4 Co4'
_space_group_name_H-M_alt 'F -4 3 m'
_space_group_IT_number 216
_space_group_name_Hall 'F -4 2 3'
_cell_length_a 5.738
_cell_length_b 5.738
_cell_length_c 5.738
_cell_angle_alpha 90.00
_cell_angle_beta 90.00
_cell_angle_gamma 90.00
loop_
_atom_site_label
_atom_site_type_symbol
_atom_site_fract_x
_atom_site_fract_y
_atom_site_fract_z
_atom_site_occupancy
V1 V 0.000 0.000 0.000 1
Ga1 Ga 0.000 0.000 0.500 1
Fe1 Fe 0.250 0.250 0.250 1
Co1 Co 0.250 0.250 0.750 1
```